Record 1
Starting from a cell relaxed with PBE, the X-ray powder pattern of ZnFeH2Rh2 was calculated for CuKα.
Lines closer than 0.1° are merged.

Main lines, in order of falling intensity (10° ≤ 2θ ≤ 80°):
hkl 1 0 2, 42.42°, intensity 100; hkl 1 0 1, 38.10°, intensity 80; hkl 0 1 3, 48.92°, intensity 40; hkl 0 0 4, 42.24°, intensity 35; hkl 1 1 0, 65.83°, intensity 27; hkl 1 0 6, 77.36°, intensity 16; hkl 1 0 5, 66.58°, intensity 15; hkl 0 0 2, 20.76°, intensity 13; hkl 0 2 1, 78.67°, intensity 9; hkl 1 1 2, 69.84°, intensity 3

Structure:
a b c (Å): 2.8376 2.8376 8.5578
angles (deg): 90.00 90.00 120.00
Space group P-3m1 (No. 164)
Inequivalent atoms, fractional coordinates:
Zn 0.0000 0.0000 0.0000 x1
Fe 0.0000 0.0000 0.5000 x1
H 0.3333 0.6667 0.3537 x2
Rh 0.3333 0.6667 0.7538 x2


Record 2
Starting from a cell relaxed with PBE, the X-ray powder pattern of YHfRh was calculated for CuKα.
Lines closer than 0.1° are merged.

Main lines, in order of falling intensity (10° ≤ 2θ ≤ 80°):
hkl 3 1 0, 37.41°, intensity 100; hkl 3 1 -1, 33.48°, intensity 98; hkl 1 1 -2, 34.08°, intensity 96; hkl 4 0 -3, 38.03°, intensity 51; hkl 1 1 1, 31.83°, intensity 49; hkl 0 2 0, 47.99°, intensity 45; hkl 4 0 -2, 32.15°, intensity 41; hkl 2 0 -3, 35.81°, intensity 40; hkl 7 1 -3, 62.29°, intensity 38; hkl 1 1 2, 42.73°, intensity 33

Structure:
a b c (Å): 11.386 3.792 7.613
angles (deg): 90.00 125.01 90.00
Space group C2/m (No. 12)
Inequivalent atoms, fractional coordinates:
Y 0.083 0.000 0.355 x4
Hf 0.168 0.500 0.072 x4
Rh 0.148 0.500 0.698 x4


Record 3
Starting from a cell relaxed with PBE, the X-ray powder pattern of CeInAu4 was calculated for CuKα.
Lines closer than 0.1° are merged.

Main lines, in order of falling intensity (10° ≤ 2θ ≤ 80°):
hkl 1 1 2, 30.39°, intensity 100; hkl 2 0 0, 35.87°, intensity 92; hkl 0 4 2, 33.97°, intensity 89; hkl 1 5 0, 35.12°, intensity 78; hkl 1 5 1, 37.17°, intensity 75; hkl 2 4 2, 50.23°, intensity 69; hkl 1 1 3, 40.81°, intensity 56; hkl 1 3 3, 44.45°, intensity 28; hkl 0 4 1, 26.78°, intensity 21; hkl 3 5 1, 65.31°, intensity 17

Structure:
a b c (Å): 5.007 14.859 7.498
angles (deg): 90.00 90.00 90.00
Space group Cmcm (No. 63)
Inequivalent atoms, fractional coordinates:
Ce 0.000 0.125 0.250 x4
In 0.000 0.357 0.250 x4
Au 0.000 0.070 0.750 x4
Au 0.000 0.274 0.572 x8
Au 0.000 0.500 0.000 x4


Record 4
Starting from a cell relaxed with PBE, the X-ray powder pattern of CsMg2In4 was calculated for CuKα.
Lines closer than 0.1° are merged.

Main lines, in order of falling intensity (10° ≤ 2θ ≤ 80°):
hkl 1 1 2, 27.89°, intensity 100; hkl 0 2 0, 37.11°, intensity 55; hkl 0 1 5, 29.34°, intensity 45; hkl 1 0 3, 23.23°, intensity 43; hkl 2 2 0, 54.19°, intensity 42; hkl 1 1 6, 38.32°, intensity 37; hkl 2 0 0, 38.04°, intensity 27; hkl 2 1 5, 48.75°, intensity 22; hkl 1 0 1, 19.30°, intensity 20; hkl 1 2 3, 44.23°, intensity 15

Structure:
a b c (Å): 4.731 4.847 19.562
angles (deg): 90.00 90.00 90.00
Space group Immm (No. 71)
Inequivalent atoms, fractional coordinates:
Cs 0.000 0.000 0.000 x2
Mg 0.000 0.500 0.182 x4
In 0.000 0.000 0.419 x4
In 0.000 0.500 0.330 x4


Record 5
Starting from a cell relaxed with PBE, the X-ray powder pattern of CuPd3Br8 was calculated for CuKα.
Lines closer than 0.1° are merged.

Main lines, in order of falling intensity (10° ≤ 2θ ≤ 80°):
hkl 0 0 1, 13.09°, intensity 100; hkl 2 2 -2, 31.64°, intensity 83; hkl 4 0 0, 32.85°, intensity 38; hkl 6 2 -2, 47.27°, intensity 28; hkl 2 2 2, 45.22°, intensity 26; hkl 2 2 -3, 40.70°, intensity 22; hkl 0 4 0, 46.57°, intensity 15; hkl 4 4 0, 58.16°, intensity 14; hkl 2 2 -1, 26.79°, intensity 13; hkl 4 0 -4, 44.10°, intensity 13

Structure:
a b c (Å): 13.270 7.801 8.229
angles (deg): 90.00 124.74 90.00
Space group C2/m (No. 12)
Inequivalent atoms, fractional coordinates:
Cu 0.000 0.000 0.000 x2
Pd 0.000 0.500 0.000 x2
Pd 0.250 0.250 0.000 x4
Br 0.009 0.260 0.785 x8
Br 0.231 0.000 0.204 x4
Br 0.247 0.500 0.221 x4


Record 6
Starting from a cell relaxed with PBE, the X-ray powder pattern of Te5PPt was calculated for CuKα.
Lines closer than 0.1° are merged.

Main lines, in order of falling intensity (10° ≤ 2θ ≤ 80°):
hkl 1 3 3, 35.06°, intensity 100; hkl 1 1 3, 29.99°, intensity 96; hkl 0 4 0, 25.19°, intensity 56; hkl 0 2 1, 13.82°, intensity 53; hkl 1 5 1, 40.09°, intensity 39; hkl 1 3 4, 38.52°, intensity 38; hkl 0 2 0, 12.52°, intensity 32; hkl 2 4 0, 54.52°, intensity 29; hkl 2 0 0, 47.55°, intensity 26; hkl 0 0 2, 11.69°, intensity 24

Structure:
a b c (Å): 3.825 14.143 15.135
angles (deg): 90.00 90.00 90.00
Space group Cmcm (No. 63)
Inequivalent atoms, fractional coordinates:
Te 0.000 0.045 0.250 x4
Te 0.000 0.142 0.631 x8
Te 0.000 0.381 0.572 x8
P 0.000 0.000 0.000 x4
Pt 0.000 0.405 0.250 x4


Record 7
Starting from a cell relaxed with PBE, the X-ray powder pattern of Ba3SnS5 was calculated for CuKα.
Lines closer than 0.1° are merged.

Main lines, in order of falling intensity (10° ≤ 2θ ≤ 80°):
hkl 2 0 2, 24.13°, intensity 100; hkl 2 1 3, 29.74°, intensity 73; hkl 0 0 4, 24.43°, intensity 32; hkl 2 2 0, 29.57°, intensity 27; hkl 4 0 2, 44.17°, intensity 23; hkl 2 2 4, 38.71°, intensity 22; hkl 2 0 6, 42.82°, intensity 22; hkl 3 1 0, 33.15°, intensity 20; hkl 2 1 5, 38.85°, intensity 18; hkl 4 2 0, 47.59°, intensity 17

Structure:
a b c (Å): 8.546 8.546 14.576
angles (deg): 90.00 90.00 90.00
Space group I4/mcm (No. 140)
Inequivalent atoms, fractional coordinates:
Ba 0.000 0.000 0.250 x4
Ba 0.163 0.337 0.000 x8
Sn 0.000 0.500 0.250 x4
S 0.000 0.000 0.000 x4
S 0.153 0.347 0.353 x16


Record 8
Starting from a cell relaxed with PBE, the X-ray powder pattern of Dy2Ga9Ir3 was calculated for CuKα.
Lines closer than 0.1° are merged.

Main lines, in order of falling intensity (10° ≤ 2θ ≤ 80°):
hkl 3 1 3, 36.96°, intensity 100; hkl 3 3 0, 41.19°, intensity 89; hkl 3 1 2, 30.14°, intensity 89; hkl 6 0 0, 41.31°, intensity 44; hkl 0 2 4, 45.00°, intensity 42; hkl 3 3 4, 57.20°, intensity 32; hkl 0 0 4, 37.84°, intensity 31; hkl 3 1 6, 63.63°, intensity 30; hkl 0 2 0, 23.46°, intensity 28; hkl 6 2 2, 51.96°, intensity 25

Structure:
a b c (Å): 13.112 7.599 9.510
angles (deg): 90.00 90.00 90.00
Space group Cmcm (No. 63)
Inequivalent atoms, fractional coordinates:
Dy 0.164 0.166 0.250 x8
Ga 0.000 0.129 0.750 x4
Ga 0.000 0.332 0.066 x8
Ga 0.104 0.443 0.750 x8
Ga 0.167 0.167 0.580 x16
Ir 0.000 0.000 0.000 x4
Ir 0.171 0.500 0.000 x8


Record 9
Starting from a cell relaxed with PBE, the X-ray powder pattern of BiSb3Pd12 was calculated for CuKα.
Lines closer than 0.1° are merged.

Main lines, in order of falling intensity (10° ≤ 2θ ≤ 80°):
hkl 1 1 4, 38.21°, intensity 100; hkl 2 0 0, 44.37°, intensity 33; hkl 3 1 4, 77.56°, intensity 25; hkl 2 0 8, 64.66°, intensity 20; hkl 0 0 8, 44.51°, intensity 16; hkl 1 1 12, 77.77°, intensity 12; hkl 2 2 0, 64.55°, intensity 11; hkl 0 0 4, 21.79°, intensity 2; hkl 1 0 4, 31.00°, intensity 1; hkl 1 1 3, 35.22°, intensity 1

Structure:
a b c (Å): 4.083 4.083 16.284
angles (deg): 90.00 90.00 90.00
Space group P4/mmm (No. 123)
Inequivalent atoms, fractional coordinates:
Bi 0.000 0.000 0.000 x1
Sb 0.000 0.000 0.253 x2
Sb 0.000 0.000 0.500 x1
Pd 0.000 0.500 0.131 x4
Pd 0.000 0.500 0.377 x4
Pd 0.500 0.500 0.000 x1
Pd 0.500 0.500 0.254 x2
Pd 0.500 0.500 0.500 x1


Record 10
Starting from a cell relaxed with PBE, the X-ray powder pattern of LiCdPO4 was calculated for CuKα.
Lines closer than 0.1° are merged.

Main lines, in order of falling intensity (10° ≤ 2θ ≤ 80°):
hkl 1 1 2, 33.35°, intensity 100; hkl 1 1 0, 18.30°, intensity 71; hkl 1 3 0, 34.43°, intensity 49; hkl 0 2 0, 20.33°, intensity 45; hkl 2 0 0, 30.70°, intensity 37; hkl 2 2 2, 46.88°, intensity 29; hkl 2 4 2, 60.22°, intensity 28; hkl 2 0 2, 41.77°, intensity 23; hkl 0 0 4, 57.02°, intensity 23; hkl 1 3 2, 44.70°, intensity 18

Structure:
a b c (Å): 5.825 8.738 6.457
angles (deg): 90.00 90.00 90.00
Space group Cmcm (No. 63)
Inequivalent atoms, fractional coordinates:
Li 0.000 0.160 0.250 x4
Cd 0.000 0.500 0.000 x4
P 0.000 0.144 0.750 x4
O 0.000 0.240 0.550 x8
O 0.213 0.031 0.750 x8


Record 11
Starting from a cell relaxed with PBE, the X-ray powder pattern of SiNi6Mo was calculated for CuKα.
Lines closer than 0.1° are merged.

Main lines, in order of falling intensity (10° ≤ 2θ ≤ 80°):
hkl 2 4 0, 43.84°, intensity 100; hkl 0 4 4, 51.01°, intensity 31; hkl 4 4 4, 75.16°, intensity 23; hkl 4 0 0, 51.20°, intensity 15; hkl 0 8 0, 74.96°, intensity 5; hkl 1 1 0, 15.18°, intensity 3; hkl 1 1 2, 23.27°, intensity 2; hkl 2 2 1, 31.90°, intensity 2; hkl 0 2 1, 19.59°, intensity 2; hkl 3 1 0, 38.83°, intensity 2

Structure:
a b c (Å): 7.137 10.136 10.120
angles (deg): 90.00 90.00 90.00
Space group Cmmm (No. 65)
Inequivalent atoms, fractional coordinates:
Si 0.000 0.000 0.246 x4
Si 0.000 0.257 0.000 x4
Ni 0.000 0.000 0.000 x2
Ni 0.000 0.000 0.500 x2
Ni 0.000 0.249 0.247 x8
Ni 0.000 0.500 0.000 x2
Ni 0.000 0.500 0.500 x2
Ni 0.245 0.124 0.372 x16
Ni 0.247 0.126 0.123 x16
Mo 0.000 0.257 0.500 x4
Mo 0.000 0.500 0.245 x4


Record 12
Starting from a cell relaxed with PBE, the X-ray powder pattern of Al2Pb3 was calculated for CuKα.
Lines closer than 0.1° are merged.

Main lines, in order of falling intensity (10° ≤ 2θ ≤ 80°):
hkl 0 1 1, 24.73°, intensity 100; hkl 1 0 2, 34.79°, intensity 61; hkl 1 1 0, 35.72°, intensity 57; hkl 2 0 1, 43.93°, intensity 23; hkl 2 1 2, 63.58°, intensity 22; hkl 0 2 2, 50.72°, intensity 21; hkl 1 1 3, 56.58°, intensity 21; hkl 1 2 1, 57.86°, intensity 21; hkl 0 1 4, 61.76°, intensity 12; hkl 3 0 0, 64.18°, intensity 11

Structure:
a b c (Å): 5.0271 5.0271 6.4013
angles (deg): 90.00 90.00 120.00
Space group P-3m1 (No. 164)
Inequivalent atoms, fractional coordinates:
Al 0.3333 0.6667 0.3360 x2
Pb 0.0000 0.0000 0.5000 x1
Pb 0.3333 0.6667 0.8445 x2